This entry pairs a crystal structure of BaMg6Al with its calculated powder X-ray diffraction pattern. Radiation: Cu Kα (λ = 1.5418 Å). Structure: a structure optimized by DFT (PBE).
Kinematic intensities with the Lorentz-polarization factor, no thermal factor.

Crystal structure
Lattice parameters (Å, degrees): 5.1065 7.0925 11.9552 90.00 90.00 90.00
Positions (direct):
Ba 0.0000 0.0000 0.0000
Ba 0.0000 0.5000 0.5000
Mg 0.0000 0.0000 0.4939
Mg 0.0000 0.2340 0.2503
Mg 0.0000 0.2660 0.7503
Mg 0.0000 0.5000 0.9939
Mg 0.0000 0.7340 0.7503
Mg 0.0000 0.7660 0.2503
Mg 0.5000 0.0000 0.6653
Mg 0.5000 0.2171 0.4038
Mg 0.5000 0.2829 0.9038
Mg 0.5000 0.5000 0.1653
Mg 0.5000 0.7171 0.9038
Mg 0.5000 0.7829 0.4038
Al 0.5000 0.0000 0.1840
Al 0.5000 0.5000 0.6840

Peak list (10 most intense, 5 to 70 degrees two-theta, by angle)
- d 6.100, 14.52°, I 49
- d 5.978, 14.82°, I 22
- d 5.107, 17.37°, I 19
- d 3.916, 22.71°, I 53
- d 3.883, 22.90°, I 27
- d 3.050, 29.28°, I 34
- d 2.618, 34.25°, I 100
- d 2.579, 34.78°, I 50
- d 2.553, 35.15°, I 31
- d 1.958, 46.38°, I 19